For Nd3YEr3Te8, a structure optimized by DFT (GGA-PBE) gives the computed XRD peak list in this record (Cu Kα, 1.54184 Å).

Structure:
```
data_Nd3YEr3Te8
_symmetry_space_group_name_H-M 'R -3 m'
_symmetry_Int_Tables_number 166
_symmetry_space_group_name_Hall '-R 3 2"'
_cell_length_a 8.7600
_cell_length_b 8.7600
_cell_length_c 21.6426
_cell_angle_alpha 90.00
_cell_angle_beta 90.00
_cell_angle_gamma 120.00
loop_
_atom_site_label
_atom_site_fract_x
_atom_site_fract_y
_atom_site_fract_z
Nd1 0.0000 0.5000 0.0000
Y1 0.0000 0.0000 0.5000
Er1 0.0000 0.5000 0.5000
Te1 0.0000 0.0000 0.2453
Te2 0.0110 0.5055 0.7521
```

Top 12 peaks for 10° ≤ 2θ ≤ 90°, in order of rising 2θ:
(hkl)	d (Å)	I/Imax
0 1 2	6.212	6.1
0 2 4	3.106	100.0
2 0 8	2.203	38.0
2 2 0	2.190	37.5
0 0 12	1.804	6.8
4 0 4	1.790	20.0
0 4 8	1.553	12.5
2 2 12	1.392	17.0
2 4 4	1.386	16.9
0 2 16	1.274	6.3
4 2 8	1.267	12.4
6 0 0	1.264	6.2